Calculated powder diffractogram
Compound: Y4IrPt3
Radiation: Cu Kα X-rays
Structure: the GGA-PBE geometry in Alexandria

Lattice parameters (Å, degrees): 3.492 3.492 13.896 90.00 90.00 90.00
Fractional positions:
Y  0.000  0.000  0.120
Y  0.000  0.000  0.374
Y  0.000  0.000  0.626
Y  0.000  0.000  0.880
Ir  0.500  0.500  0.000
Pt  0.500  0.500  0.248
Pt  0.500  0.500  0.500
Pt  0.500  0.500  0.752

Peak list (6 most intense, 5 to 70 degrees two-theta, by angle)
Position (°2θ)  I_rel  index
25.5  10.2  1 0 0
36.5  100.0  1 1 0
52.4  11.8  2 0 0
52.7  5.7  0 0 8
65.5  24.0  2 1 4
65.7  11.8  1 1 8